# 1
Starting from a cell relaxed with GGA-PBE, the powder XRD pattern of LaNpCl6 was simulated for Cu Kα (weighted mean of Kα1 and Kα2).
No peak broadening, texture or thermal motion is included.

The 10 most intense peaks (2θ from 10° to 80°), low angle first:
- 2θ 13.69, intensity 100, hkl 1 0 0
- 2θ 23.83, intensity 46, hkl 1 1 0
- 2θ 24.78, intensity 72, hkl 1 0 1
- 2θ 34.64, intensity 76, hkl 2 0 1
- 2θ 41.87, intensity 43, hkl 0 0 2
- 2θ 42.48, intensity 67, hkl 2 1 1
- 2θ 48.72, intensity 24, hkl 2 2 0
- 2θ 60.68, intensity 19, hkl 3 0 2
- 2θ 66.18, intensity 19, hkl 4 1 0
- 2θ 66.63, intensity 23, hkl 2 3 1

Structure:
```
data_LaNpCl6
_chemical_formula_sum 'La1 Np1 Cl6'
_space_group_name_H-M_alt 'P -6'
_space_group_IT_number 174
_cell_length_a 7.4695
_cell_length_b 7.4695
_cell_length_c 4.3215
_cell_angle_alpha 90.00
_cell_angle_beta 90.00
_cell_angle_gamma 120.00
loop_
_space_group_symop_operation_xyz
'x,y,z'
'-x+y,-x,-z'
'-y,x-y,z'
'x,y,-z'
'-x+y,-x,z'
'-y,x-y,-z'
loop_
_atom_site_label
_atom_site_fract_x
_atom_site_fract_y
_atom_site_fract_z
La1 0.0000 0.0000 0.0000
Np1 0.6667 0.3333 0.5000
Cl1 0.0282 0.7484 0.5000
Cl2 0.4239 0.0589 0.0000
```

***

# 2
Starting from a cell relaxed with GGA-PBE, the powder XRD pattern of La2Ta2Cl2O7 was simulated for Cu Kα (weighted mean of Kα1 and Kα2).
No peak broadening, texture or thermal motion is included.

The 10 most intense peaks (2θ from 10° to 80°), low angle first:
- 2θ 13.92, intensity 46, hkl 0 0 1
- 2θ 23.36, intensity 75, hkl 4 0 -1
- 2θ 28.05, intensity 26, hkl 0 0 2
- 2θ 28.61, intensity 40, hkl 1 1 1
- 2θ 29.22, intensity 64, hkl 4 0 -2
- 2θ 29.50, intensity 100, hkl 3 1 0
- 2θ 33.62, intensity 32, hkl 4 0 1
- 2θ 34.73, intensity 59, hkl 1 1 -2
- 2θ 45.92, intensity 31, hkl 0 2 0
- 2θ 58.11, intensity 30, hkl 7 1 1

Structure:
```
data_La2Ta2Cl2O7
_chemical_formula_sum 'La4 Ta4 Cl4 O14'
_space_group_name_H-M_alt 'C 1 2/m 1'
_space_group_IT_number 12
_cell_length_a 15.451
_cell_length_b 3.952
_cell_length_c 6.955
_cell_angle_alpha 90.00
_cell_angle_beta 113.82
_cell_angle_gamma 90.00
loop_
_space_group_symop_operation_xyz
'x,y,z'
'-x,-y,-z'
'-x,y,-z'
'x,-y,z'
'x+1/2,y+1/2,z'
'-x+1/2,-y+1/2,-z'
'-x+1/2,y+1/2,-z'
'x+1/2,-y+1/2,z'
loop_
_atom_site_label
_atom_site_fract_x
_atom_site_fract_y
_atom_site_fract_z
La1 0.192 0.000 0.168
Ta1 0.034 0.500 0.797
Cl1 0.175 0.000 0.566
O1 0.000 0.500 0.500
O2 0.043 0.000 0.832
O3 0.081 0.500 0.152
O4 0.174 0.500 0.928
```

***

# 3
Starting from a cell relaxed with GGA-PBE, the powder XRD pattern of La2TaCl3O4 was simulated for Cu Kα (weighted mean of Kα1 and Kα2).
No peak broadening, texture or thermal motion is included.

The 10 most intense peaks (2θ from 10° to 80°), low angle first:
- 2θ 19.74, intensity 64, hkl 0 3 2
- 2θ 27.19, intensity 76, hkl 0 2 5
- 2θ 28.81, intensity 68, hkl 1 3 1
- 2θ 30.07, intensity 100, hkl 1 3 2
- 2θ 34.46, intensity 76, hkl 0 3 6
- 2θ 34.62, intensity 50, hkl 0 6 0
- 2θ 41.79, intensity 35, hkl 1 0 7
- 2θ 42.02, intensity 36, hkl 1 5 4
- 2θ 45.85, intensity 44, hkl 2 0 0
- 2θ 58.58, intensity 38, hkl 2 3 6

Structure:
```
data_La2TaCl3O4
_chemical_formula_sum 'La12 Ta6 Cl18 O24'
_space_group_name_H-M_alt 'P m m n'
_space_group_IT_number 59
_cell_length_a 3.958
_cell_length_b 15.546
_cell_length_c 18.062
_cell_angle_alpha 90.00
_cell_angle_beta 90.00
_cell_angle_gamma 90.00
loop_
_space_group_symop_operation_xyz
'x,y,z'
'-x,-y,-z'
'-x+1/2,-y+1/2,z'
'x+1/2,y+1/2,-z'
'x+1/2,-y,-z'
'-x+1/2,y,z'
'-x,y+1/2,-z'
'x,-y+1/2,z'
loop_
_atom_site_label
_atom_site_fract_x
_atom_site_fract_y
_atom_site_fract_z
La1 0.250 0.073 0.113
La2 0.250 0.250 0.368
La3 0.250 0.250 0.843
La4 0.250 0.601 0.400
Ta1 0.250 0.556 0.703
Ta2 0.250 0.750 0.984
Cl1 0.250 0.064 0.939
Cl2 0.250 0.083 0.473
Cl3 0.250 0.250 0.200
Cl4 0.250 0.250 0.646
Cl5 0.250 0.634 0.228
Cl6 0.250 0.750 0.502
O1 0.250 0.047 0.642
O2 0.250 0.049 0.302
O3 0.250 0.250 0.010
O4 0.250 0.556 0.807
O5 0.250 0.646 0.931
O6 0.250 0.666 0.659
O7 0.250 0.750 0.091
```

***

# 4
Starting from a cell relaxed with GGA-PBE, the powder XRD pattern of LaPrPCl2 was simulated for Cu Kα (weighted mean of Kα1 and Kα2).
No peak broadening, texture or thermal motion is included.

The 10 most intense peaks (2θ from 10° to 80°), low angle first:
- 2θ 16.93, intensity 13, hkl 0 0 2
- 2θ 24.64, intensity 20, hkl 1 0 0
- 2θ 26.09, intensity 35, hkl 1 0 1
- 2θ 30.05, intensity 100, hkl 0 1 2
- 2θ 35.77, intensity 17, hkl 0 1 3
- 2θ 42.65, intensity 32, hkl 1 0 4
- 2θ 43.37, intensity 31, hkl 1 1 0
- 2θ 50.36, intensity 12, hkl 1 0 5
- 2θ 53.66, intensity 19, hkl 2 0 2
- 2θ 71.37, intensity 16, hkl 1 2 2

Structure:
```
data_LaPrPCl2
_chemical_formula_sum 'La1 Pr1 P1 Cl2'
_space_group_name_H-M_alt 'P 3 m 1'
_space_group_IT_number 156
_cell_length_a 4.1725
_cell_length_b 4.1725
_cell_length_c 10.4713
_cell_angle_alpha 90.00
_cell_angle_beta 90.00
_cell_angle_gamma 120.00
loop_
_space_group_symop_operation_xyz
'x,y,z'
'-y,x-y,z'
'-x+y,-x,z'
'-y,-x,z'
'-x+y,y,z'
'x,x-y,z'
loop_
_atom_site_label
_atom_site_fract_x
_atom_site_fract_y
_atom_site_fract_z
La1 0.0000 0.0000 0.0000
Pr1 0.3333 0.6667 0.6876
P1 0.6667 0.3333 0.8423
Cl1 0.0000 0.0000 0.5286
Cl2 0.3333 0.6667 0.1608
```